CeTl2As2O6: calculated X-ray powder pattern (Cu Kα), based on a crystal structure in Alexandria, relaxed with PBE.

Structure:
```
data_CeTl2As2O6
_symmetry_space_group_name_H-M 'C 1 2/m 1'
_symmetry_Int_Tables_number 12
_cell_length_a 10.148
_cell_length_b 6.059
_cell_length_c 7.441
_cell_angle_alpha 90.00
_cell_angle_beta 103.92
_cell_angle_gamma 90.00
loop_
_symmetry_equiv_pos_as_xyz
'x,y,z'
'-x,-y,-z'
'-x,y,-z'
'x,-y,z'
'x+1/2,y+1/2,z'
'-x+1/2,-y+1/2,-z'
'-x+1/2,y+1/2,-z'
'x+1/2,-y+1/2,z'
loop_
_atom_site_label
_atom_site_type_symbol
_atom_site_fract_x
_atom_site_fract_y
_atom_site_fract_z
Ce1 Ce 0.000 0.000 0.000
Tl1 Tl 0.222 0.500 0.259
As1 As 0.111 0.500 0.728
O1 O 0.022 0.274 0.803
O2 O 0.231 0.000 0.097
```

Largest 6 diffraction maxima, by angle, 2θ from 10° to 80°:
- 22.40°, intensity 100, (1 1 1)
- 24.65°, intensity 44, (0 0 2)
- 28.32°, intensity 45, (1 1 -2)
- 29.49°, intensity 60, (0 2 0)
- 30.83°, intensity 79, (3 1 -1)
- 40.32°, intensity 38, (2 2 -2)